# 1
Diffraction record for Cu3PdO6. The powder X-ray diffraction pattern is computed, not measured: it uses a PBE-relaxed structure and λ = 1.5418 Å (Cu Kα).
Peak positions follow from Bragg's law for the DFT cell and can differ from measured ones.

Atomic structure:
a = 7.0769 Å, b = 9.7074 Å, c = 3.0621 Å
α = 90.00°, β = 90.00°, γ = 90.00°
Space group Cmmm (No. 65)
Inequivalent atoms, fractional coordinates:
1 Cu 0.0000 0.0000 0.0000
2 Cu 0.2500 0.2500 0.5000
3 Pd 0.0000 0.5000 0.0000
4 O 0.0000 0.3600 0.5000
5 O 0.1913 0.1297 0.0000

Peak list (8 most intense, 2θ = 10–90°, sorted by position)
2θ 31.3, d = 2.859 Å, rel. 100.0, (2 2 0); 2θ 34.6, d = 2.590 Å, rel. 78.7, (0 2 1); 2θ 37.0, d = 2.427 Å, rel. 15.6, (0 4 0); 2θ 38.9, d = 2.315 Å, rel. 31.2, (2 0 1); 2θ 54.8, d = 1.675 Å, rel. 58.2, (2 4 1); 2θ 63.7, d = 1.461 Å, rel. 25.1, (4 2 1); 2θ 65.2, d = 1.430 Å, rel. 20.1, (0 6 1); 2θ 69.7, d = 1.350 Å, rel. 17.9, (2 2 2)

---

# 2
Diffraction record for CuPd3O4. The powder X-ray diffraction pattern is computed, not measured: it uses a PBE-relaxed structure and λ = 1.5418 Å (Cu Kα).
Peak positions follow from Bragg's law for the DFT cell and can differ from measured ones.

Atomic structure:
a = 6.7027 Å, b = 5.4630 Å, c = 5.5631 Å
α = 90.00°, β = 90.00°, γ = 90.00°
Space group Pmn2_1 (No. 31)
Inequivalent atoms, fractional coordinates:
1 Cu 0.0000 0.1216 0.0000
2 Pd 0.0000 0.7152 0.4019
3 Pd 0.2085 0.7205 0.9975
4 O 0.0000 0.2507 0.3198
5 O 0.0000 0.8414 0.7555
6 O 0.2087 0.3297 0.8498

Peak list (8 most intense, 2θ = 10–90°, sorted by position)
2θ 21.0, d = 4.235 Å, rel. 22.6, (1 1 0); 2θ 32.2, d = 2.782 Å, rel. 38.2, (0 0 2); 2θ 32.8, d = 2.731 Å, rel. 40.0, (0 2 0); 2θ 35.3, d = 2.541 Å, rel. 100.0, (2 1 1); 2θ 46.6, d = 1.949 Å, rel. 15.5, (0 2 2); 2θ 52.1, d = 1.756 Å, rel. 15.2, (0 1 3); 2θ 55.7, d = 1.651 Å, rel. 18.5, (3 2 1); 2θ 59.4, d = 1.555 Å, rel. 17.0, (2 1 3)

---

# 3
Diffraction record for Cu2PdO4. The powder X-ray diffraction pattern is computed, not measured: it uses a PBE-relaxed structure and λ = 1.5418 Å (Cu Kα).
Peak positions follow from Bragg's law for the DFT cell and can differ from measured ones.

Atomic structure:
a = 10.7271 Å, b = 3.2185 Å, c = 4.9949 Å
α = 90.00°, β = 112.55°, γ = 90.00°
Space group C2/m (No. 12)
Inequivalent atoms, fractional coordinates:
1 Cu 0.1890 0.0000 0.1630
2 Pd 0.0000 0.5000 0.5000
3 O 0.1035 0.0000 0.4223
4 O 0.1430 0.5000 0.9132

Peak list (8 most intense, 2θ = 10–90°, sorted by position)
2θ 20.7, d = 4.296 Å, rel. 29.8, (2 0 -1); 2θ 31.2, d = 2.871 Å, rel. 74.9, (2 0 1); 2θ 33.2, d = 2.702 Å, rel. 100.0, (1 1 -1); 2θ 33.9, d = 2.646 Å, rel. 39.9, (4 0 -1); 2θ 36.1, d = 2.488 Å, rel. 26.6, (2 0 -2); 2θ 39.1, d = 2.305 Å, rel. 61.9, (3 1 0); 2θ 52.4, d = 1.745 Å, rel. 31.0, (1 1 2); 2θ 56.0, d = 1.641 Å, rel. 24.6, (5 1 -2)

---

# 4
Diffraction record for CuPd2O3. The powder X-ray diffraction pattern is computed, not measured: it uses a PBE-relaxed structure and λ = 1.5418 Å (Cu Kα).
Peak positions follow from Bragg's law for the DFT cell and can differ from measured ones.

Atomic structure:
a = 9.8059 Å, b = 5.6772 Å, c = 5.6558 Å
α = 90.00°, β = 90.00°, γ = 90.00°
Space group Cmc2_1 (No. 36)
Inequivalent atoms, fractional coordinates:
1 Cu 0.0000 0.1152 0.0000
2 Pd 0.1339 0.4768 0.4664
3 O 0.0000 0.2078 0.4202
4 O 0.1836 0.1868 0.9948

Peak list (8 most intense, 2θ = 10–90°, sorted by position)
2θ 18.1, d = 4.912 Å, rel. 46.1, (1 1 0); 2θ 31.6, d = 2.834 Å, rel. 100.0, (3 1 0); 2θ 31.6, d = 2.828 Å, rel. 84.1, (0 0 2); 2θ 35.4, d = 2.537 Å, rel. 26.6, (0 2 1); 2θ 36.7, d = 2.451 Å, rel. 25.5, (4 0 0); 2θ 45.3, d = 2.002 Å, rel. 72.0, (3 1 2); 2θ 49.1, d = 1.857 Å, rel. 35.2, (4 2 0); 2θ 59.6, d = 1.552 Å, rel. 37.1, (4 2 2)

---

# 5
Diffraction record for Cu2Pd3O8. The powder X-ray diffraction pattern is computed, not measured: it uses a PBE-relaxed structure and λ = 1.5418 Å (Cu Kα).
Peak positions follow from Bragg's law for the DFT cell and can differ from measured ones.

Atomic structure:
a = 9.6674 Å, b = 5.9652 Å, c = 5.2954 Å
α = 90.00°, β = 100.73°, γ = 90.00°
Space group C2/m (No. 12)
Inequivalent atoms, fractional coordinates:
1 Cu 0.2061 0.0000 0.0666
2 Pd 0.0000 0.2469 0.5000
3 Pd 0.0000 0.5000 0.0000
4 O 0.1074 0.5000 0.3638
5 O 0.1100 0.0000 0.3755
6 O 0.1283 0.2696 0.8605

Peak list (8 most intense, 2θ = 10–90°, sorted by position)
2θ 18.7, d = 4.749 Å, rel. 87.3, (2 0 0); 2θ 22.9, d = 3.886 Å, rel. 45.5, (2 0 -1); 2θ 34.5, d = 2.601 Å, rel. 61.6, (0 0 2); 2θ 34.7, d = 2.588 Å, rel. 100.0, (0 2 1); 2θ 38.0, d = 2.366 Å, rel. 64.9, (2 2 -1); 2θ 49.6, d = 1.836 Å, rel. 46.8, (4 2 -1); 2θ 54.8, d = 1.674 Å, rel. 46.8, (4 2 1); 2θ 61.9, d = 1.500 Å, rel. 51.8, (0 2 3)

---

# 6
Diffraction record for CuPdRhO4. The powder X-ray diffraction pattern is computed, not measured: it uses a PBE-relaxed structure and λ = 1.5418 Å (Cu Kα).
Peak positions follow from Bragg's law for the DFT cell and can differ from measured ones.

Atomic structure:
a = 6.1283 Å, b = 6.1403 Å, c = 8.6243 Å
α = 90.00°, β = 90.00°, γ = 90.00°
Space group Imma (No. 74)
Inequivalent atoms, fractional coordinates:
1 Cu 0.0000 0.2500 0.1242
2 Pd 0.0000 0.0000 0.5000
3 Rh 0.2500 0.2500 0.7500
4 O 0.0000 0.0239 0.7406
5 O 0.2333 0.2500 0.5104

Peak list (8 most intense, 2θ = 10–90°, sorted by position)
2θ 17.7, d = 4.999 Å, rel. 47.6, (1 0 1); 2θ 29.2, d = 3.058 Å, rel. 16.2, (1 1 2); 2θ 34.3, d = 2.614 Å, rel. 100.0, (1 2 1); 2θ 34.5, d = 2.603 Å, rel. 49.5, (1 0 3); 2θ 35.9, d = 2.499 Å, rel. 41.4, (2 0 2); 2θ 41.6, d = 2.169 Å, rel. 25.9, (2 2 0); 2θ 55.0, d = 1.669 Å, rel. 34.7, (2 3 1); 2θ 60.6, d = 1.529 Å, rel. 43.4, (2 2 4)

---

# 7
Diffraction record for Sr2CuPdO4. The powder X-ray diffraction pattern is computed, not measured: it uses a PBE-relaxed structure and λ = 1.5418 Å (Cu Kα).
Peak positions follow from Bragg's law for the DFT cell and can differ from measured ones.

Atomic structure:
a = 6.0708 Å, b = 6.0708 Å, c = 6.3916 Å
α = 90.00°, β = 90.00°, γ = 90.00°
Space group I-4 (No. 82)
Inequivalent atoms, fractional coordinates:
1 Sr 0.0000 0.0000 0.0000
2 Sr 0.0000 0.5000 0.2500
3 Cu 0.0000 0.5000 0.7500
4 Pd 0.0000 0.0000 0.5000
5 O 0.1632 0.7090 0.5526

Peak list (8 most intense, 2θ = 10–90°, sorted by position)
2θ 29.4, d = 3.035 Å, rel. 62.0, (2 0 0); 2θ 35.0, d = 2.563 Å, rel. 100.0, (1 1 2); 2θ 42.1, d = 2.146 Å, rel. 35.0, (2 2 0); 2θ 55.9, d = 1.646 Å, rel. 56.1, (3 1 2); 2θ 66.1, d = 1.414 Å, rel. 14.8, (2 0 4); 2θ 69.2, d = 1.357 Å, rel. 14.0, (2 4 0); 2θ 74.0, d = 1.282 Å, rel. 11.4, (2 2 4); 2θ 87.4, d = 1.116 Å, rel. 13.8, (1 5 2)

---

# 8
Diffraction record for ZnCuTePdO. The powder X-ray diffraction pattern is computed, not measured: it uses a PBE-relaxed structure and λ = 1.5418 Å (Cu Kα).
Peak positions follow from Bragg's law for the DFT cell and can differ from measured ones.

Atomic structure:
a = 9.1107 Å, b = 3.4503 Å, c = 6.4706 Å
α = 90.00°, β = 98.99°, γ = 90.00°
Space group Cm (No. 8)
Inequivalent atoms, fractional coordinates:
1 Zn 0.0000 0.0000 0.0000
2 Cu 0.0709 0.5000 0.4155
3 Te 0.1961 0.0000 0.6908
4 Pd 0.3943 0.5000 0.5914
5 O 0.0067 0.5000 0.1201

Peak list (8 most intense, 2θ = 10–90°, sorted by position)
2θ 13.9, d = 6.391 Å, rel. 100.0, (0 0 1); 2θ 30.4, d = 2.944 Å, rel. 34.1, (1 1 -1); 2θ 37.0, d = 2.432 Å, rel. 28.0, (2 0 2); 2θ 38.6, d = 2.335 Å, rel. 45.8, (1 1 -2); 2θ 39.8, d = 2.264 Å, rel. 34.0, (3 1 0); 2θ 40.4, d = 2.234 Å, rel. 28.8, (4 0 -1); 2θ 40.7, d = 2.218 Å, rel. 26.8, (3 1 -1); 2θ 44.0, d = 2.059 Å, rel. 29.2, (3 1 1)

---

# 9
Diffraction record for ZnCuTePdO. The powder X-ray diffraction pattern is computed, not measured: it uses a PBE-relaxed structure and λ = 1.5418 Å (Cu Kα).
Peak positions follow from Bragg's law for the DFT cell and can differ from measured ones.

Atomic structure:
a = 12.6865 Å, b = 3.1540 Å, c = 4.3791 Å
α = 90.00°, β = 99.20°, γ = 90.00°
Space group Cm (No. 8)
Inequivalent atoms, fractional coordinates:
1 Zn 0.0000 0.0000 0.0000
2 Cu 0.3852 0.0000 0.3343
3 Te 0.2402 0.5000 0.0403
4 Pd 0.1072 0.5000 0.4333
5 O 0.4798 0.0000 0.7201

Peak list (8 most intense, 2θ = 10–90°, sorted by position)
2θ 20.5, d = 4.323 Å, rel. 53.8, (0 0 1); 2θ 29.2, d = 3.058 Å, rel. 77.4, (1 1 0); 2θ 32.5, d = 2.753 Å, rel. 100.0, (4 0 -1); 2θ 35.7, d = 2.516 Å, rel. 55.2, (3 1 0); 2θ 36.6, d = 2.452 Å, rel. 85.7, (1 1 1); 2θ 38.1, d = 2.363 Å, rel. 74.4, (4 0 1); 2θ 43.3, d = 2.089 Å, rel. 64.0, (3 1 1); 2θ 48.5, d = 1.877 Å, rel. 45.6, (5 1 -1)

---

# 10
Diffraction record for ZnCuTePdO. The powder X-ray diffraction pattern is computed, not measured: it uses a PBE-relaxed structure and λ = 1.5418 Å (Cu Kα).
Peak positions follow from Bragg's law for the DFT cell and can differ from measured ones.

Atomic structure:
a = 3.5267 Å, b = 4.0516 Å, c = 6.2501 Å
α = 90.00°, β = 105.90°, γ = 90.00°
Space group Pm (No. 6)
Inequivalent atoms, fractional coordinates:
1 Zn 0.0000 0.0000 0.0000
2 Cu 0.6326 0.5000 0.2651
3 Te 0.3070 0.5000 0.6379
4 Pd 0.7789 0.0000 0.5787
5 O 0.5725 0.0000 0.1501

Peak list (8 most intense, 2θ = 10–90°, sorted by position)
2θ 14.7, d = 6.011 Å, rel. 44.5, (0 0 1); 2θ 29.7, d = 3.005 Å, rel. 28.4, (0 0 2); 2θ 34.5, d = 2.597 Å, rel. 100.0, (1 1 -1); 2θ 37.2, d = 2.414 Å, rel. 29.4, (0 1 2); 2θ 40.6, d = 2.223 Å, rel. 26.4, (1 1 1); 2θ 40.8, d = 2.210 Å, rel. 24.8, (1 1 -2); 2θ 44.7, d = 2.026 Å, rel. 28.6, (0 2 0); 2θ 51.9, d = 1.763 Å, rel. 18.1, (2 0 -1)

---

# 11
Diffraction record for ThCu4Pd3O12. The powder X-ray diffraction pattern is computed, not measured: it uses a PBE-relaxed structure and λ = 1.5418 Å (Cu Kα).
Peak positions follow from Bragg's law for the DFT cell and can differ from measured ones.

Atomic structure:
a = 7.5186 Å, b = 7.5186 Å, c = 7.5186 Å
α = 90.00°, β = 90.00°, γ = 90.00°
Space group Im-3 (No. 204)
Inequivalent atoms, fractional coordinates:
1 Th 0.0000 0.0000 0.0000
2 Cu 0.2500 0.2500 0.2500
3 Pd 0.0000 0.0000 0.5000
4 O 0.0000 0.2966 0.1747

Peak list (8 most intense, 2θ = 10–90°, sorted by position)
2θ 16.7, d = 5.316 Å, rel. 12.0, (1 1 0); 2θ 23.7, d = 3.759 Å, rel. 12.1, (2 0 0); 2θ 33.7, d = 2.658 Å, rel. 100.0, (2 2 0); 2θ 41.6, d = 2.170 Å, rel. 8.5, (2 2 2); 2θ 48.4, d = 1.880 Å, rel. 24.2, (4 0 0); 2θ 60.3, d = 1.535 Å, rel. 45.3, (4 2 2); 2θ 70.9, d = 1.329 Å, rel. 12.8, (4 4 0); 2θ 80.9, d = 1.189 Å, rel. 16.7, (6 2 0)

---

# 12
Diffraction record for Tl2Cu2PdO6. The powder X-ray diffraction pattern is computed, not measured: it uses a PBE-relaxed structure and λ = 1.5418 Å (Cu Kα).
Peak positions follow from Bragg's law for the DFT cell and can differ from measured ones.

Atomic structure:
a = 5.8241 Å, b = 5.8241 Å, c = 16.0862 Å
α = 90.00°, β = 90.00°, γ = 120.00°
Space group R-3m (No. 166, hexagonal axes)
Inequivalent atoms, fractional coordinates:
1 Tl 0.0000 0.0000 0.2100
2 Cu 0.0000 0.0000 0.3945
3 Pd 0.0000 0.0000 0.0000
4 O 0.0235 0.5117 0.7456

Peak list (8 most intense, 2θ = 10–90°, sorted by position)
2θ 20.8, d = 4.273 Å, rel. 19.0, (0 1 2); 2θ 30.7, d = 2.912 Å, rel. 100.0, (1 1 0); 2θ 33.0, d = 2.712 Å, rel. 84.3, (0 1 5); 2θ 45.7, d = 1.985 Å, rel. 33.3, (2 0 5); 2θ 54.6, d = 1.681 Å, rel. 19.9, (3 0 0); 2θ 56.1, d = 1.640 Å, rel. 40.0, (1 2 5); 2θ 63.9, d = 1.456 Å, rel. 16.7, (2 2 0); 2θ 73.9, d = 1.283 Å, rel. 16.2, (3 1 5)